For Li4IrS4, a GGA-PBE-relaxed structure gives the theoretical powder diffractogram in this record (copper Kα).

Cell: 6.277 6.277 6.277 Å, 120.05 120.05 89.92°
Sites, in units of the cell vectors:
Li: 0.000 0.500 0.500
Li: 0.190 0.190 0.000
Li: 0.500 0.000 0.500
Li: 0.810 0.810 0.000
Ir: 0.500 0.500 0.000
S: 0.160 0.624 0.000
S: 0.376 0.376 0.536
S: 0.624 0.160 0.000
S: 0.840 0.840 0.464

Largest 10 diffraction maxima, in order of rising 2θ, 2θ from 15° to 90°:
d 5.124, intensity 100
d 4.438, intensity 56
d 3.138, intensity 39
d 2.676, intensity 50
d 2.218, intensity 17
d 2.036, intensity 26
d 1.984, intensity 25
d 1.812, intensity 29
d 1.708, intensity 23
d 1.500, intensity 20

=====

For LiSb2Ir, a GGA-PBE-relaxed structure gives the theoretical powder diffractogram in this record (copper Kα).

Cell: 8.180 8.180 8.180 Å, 157.87 155.20 33.48°
Sites, in units of the cell vectors:
Li: 0.000 0.000 0.000
Sb: 0.158 0.658 0.500
Sb: 0.379 0.379 0.000
Ir: 0.749 0.249 0.500

Largest 10 diffraction maxima, in order of rising 2θ, 2θ from 15° to 90°:
d 3.079, intensity 52
d 2.915, intensity 81
d 2.691, intensity 38
d 2.339, intensity 93
d 2.243, intensity 100
d 2.218, intensity 25
d 2.010, intensity 35
d 1.822, intensity 36
d 1.303, intensity 41
d 1.265, intensity 22

=====

For LiSc4Ir2, a GGA-PBE-relaxed structure gives the theoretical powder diffractogram in this record (copper Kα).

Cell: 7.879 7.879 7.879 Å, 33.81 33.81 33.81°
Sites, in units of the cell vectors:
Li: 0.000 0.000 0.000
Sc: 0.129 0.129 0.129
Sc: 0.380 0.380 0.380
Sc: 0.620 0.620 0.620
Sc: 0.871 0.871 0.871
Ir: 0.252 0.252 0.252
Ir: 0.748 0.748 0.748

Largest 10 diffraction maxima, in order of rising 2θ, 2θ from 15° to 90°:
d 3.738, intensity 100
d 3.711, intensity 33
d 3.231, intensity 20
d 2.291, intensity 62
d 2.279, intensity 60
d 1.951, intensity 52
d 1.942, intensity 16
d 1.616, intensity 20
d 1.486, intensity 14
d 1.320, intensity 20

=====

For LiScIr2, a GGA-PBE-relaxed structure gives the theoretical powder diffractogram in this record (copper Kα).

Cell: 3.022 4.588 4.352 Å, 90.00 90.00 90.00°
Sites, in units of the cell vectors:
Li: 0.000 0.000 0.000
Sc: 0.500 0.500 0.911
Ir: 0.000 0.500 0.408
Ir: 0.500 0.000 0.486

Largest 10 diffraction maxima, in order of rising 2θ, 2θ from 15° to 90°:
d 4.352, intensity 88
d 2.524, intensity 47
d 2.294, intensity 31
d 2.183, intensity 100
d 2.176, intensity 20
d 2.029, intensity 24
d 1.648, intensity 21
d 1.579, intensity 15
d 1.302, intensity 19
d 1.258, intensity 10

=====

For LiSi6Ir3, a GGA-PBE-relaxed structure gives the theoretical powder diffractogram in this record (copper Kα).

Cell: 8.901 3.753 9.718 Å, 90.00 101.91 90.00°
Sites, in units of the cell vectors:
Li: 0.210 0.250 0.469
Li: 0.790 0.750 0.531
Si: 0.008 0.250 0.651
Si: 0.086 0.250 0.961
Si: 0.259 0.750 0.833
Si: 0.303 0.250 0.239
Si: 0.375 0.750 0.626
Si: 0.454 0.750 0.151
Si: 0.546 0.250 0.849
Si: 0.625 0.250 0.374
Si: 0.697 0.750 0.761
Si: 0.741 0.250 0.167
Si: 0.914 0.750 0.039
Si: 0.992 0.750 0.349
Ir: 0.023 0.250 0.199
Ir: 0.361 0.250 0.992
Ir: 0.457 0.750 0.390
Ir: 0.543 0.250 0.610
Ir: 0.639 0.750 0.008
Ir: 0.977 0.750 0.801

Largest 10 diffraction maxima, in order of rising 2θ, 2θ from 15° to 90°:
d 4.591, intensity 59
d 4.355, intensity 52
d 3.159, intensity 100
d 2.949, intensity 64
d 2.599, intensity 48
d 2.422, intensity 28
d 2.153, intensity 48
d 2.036, intensity 43
d 1.876, intensity 29
d 1.805, intensity 28

=====

For Li2Si2Ir, a GGA-PBE-relaxed structure gives the theoretical powder diffractogram in this record (copper Kα).

Cell: 6.677 6.677 6.677 Å, 130.35 72.59 130.68°
Sites, in units of the cell vectors:
Li: 0.184 0.247 0.431
Li: 0.316 0.747 0.064
Li: 0.684 0.253 0.936
Li: 0.816 0.753 0.569
Si: 0.065 0.680 0.745
Si: 0.435 0.180 0.614
Si: 0.565 0.820 0.386
Si: 0.935 0.320 0.255
Ir: 0.250 0.250 0.000
Ir: 0.750 0.750 0.000

Largest 10 diffraction maxima, in order of rising 2θ, 2θ from 15° to 90°:
d 5.381, intensity 100
d 4.972, intensity 89
d 3.022, intensity 32
d 2.486, intensity 17
d 2.474, intensity 14
d 2.430, intensity 49
d 2.048, intensity 26
d 1.976, intensity 16
d 1.855, intensity 21
d 1.841, intensity 14

=====

For LiSi7Ir3, a GGA-PBE-relaxed structure gives the theoretical powder diffractogram in this record (copper Kα).

Cell: 7.909 7.909 7.909 Å, 57.54 57.54 57.54°
Sites, in units of the cell vectors:
Li: 0.000 0.000 0.000
Li: 0.500 0.500 0.500
Si: 0.066 0.852 0.675
Si: 0.148 0.325 0.934
Si: 0.175 0.352 0.566
Si: 0.250 0.250 0.250
Si: 0.325 0.934 0.148
Si: 0.352 0.566 0.175
Si: 0.434 0.825 0.648
Si: 0.566 0.175 0.352
Si: 0.648 0.434 0.825
Si: 0.675 0.066 0.852
Si: 0.750 0.750 0.750
Si: 0.825 0.648 0.434
Si: 0.852 0.675 0.066
Si: 0.934 0.148 0.325
Ir: 0.072 0.750 0.428
Ir: 0.250 0.572 0.928
Ir: 0.428 0.072 0.750
Ir: 0.572 0.928 0.250
Ir: 0.750 0.428 0.072
Ir: 0.928 0.250 0.572

Largest 10 diffraction maxima, in order of rising 2θ, 2θ from 15° to 90°:
d 3.806, intensity 19
d 3.293, intensity 100
d 2.488, intensity 13
d 2.198, intensity 21
d 1.899, intensity 27
d 1.828, intensity 51
d 1.405, intensity 15
d 1.316, intensity 10
d 1.203, intensity 9
d 1.184, intensity 7

=====

For LiSm3Ir, a GGA-PBE-relaxed structure gives the theoretical powder diffractogram in this record (copper Kα).

Cell: 9.623 9.623 6.481 Å, 90.00 90.00 63.74°
Sites, in units of the cell vectors:
Li: 0.001 0.999 0.812
Li: 0.499 0.501 0.312
Li: 0.501 0.499 0.688
Li: 0.999 0.001 0.188
Sm: 0.075 0.705 0.500
Sm: 0.200 0.200 0.000
Sm: 0.205 0.575 0.000
Sm: 0.295 0.925 0.500
Sm: 0.300 0.300 0.500
Sm: 0.425 0.795 0.000
Sm: 0.575 0.205 0.000
Sm: 0.700 0.700 0.500
Sm: 0.705 0.075 0.500
Sm: 0.795 0.425 0.000
Sm: 0.800 0.800 0.000
Sm: 0.925 0.295 0.500
Ir: 0.000 0.500 0.250
Ir: 0.000 0.500 0.750
Ir: 0.500 0.000 0.250
Ir: 0.500 0.000 0.750

Largest 10 diffraction maxima, in order of rising 2θ, 2θ from 15° to 90°:
d 5.081, intensity 62
d 2.953, intensity 81
d 2.805, intensity 70
d 2.629, intensity 55
d 2.591, intensity 100
d 2.539, intensity 89
d 2.401, intensity 40
d 2.271, intensity 100
d 1.896, intensity 33
d 1.668, intensity 35

=====

For LiSnIr, a GGA-PBE-relaxed structure gives the theoretical powder diffractogram in this record (copper Kα).

Cell: 4.446 2.952 4.601 Å, 90.00 90.17 90.00°
Sites, in units of the cell vectors:
Li: 0.000 0.000 0.000
Sn: 0.500 0.000 0.500
Ir: 0.000 0.500 0.500

Largest 10 diffraction maxima, in order of rising 2θ, 2θ from 15° to 90°:
d 4.601, intensity 100
d 2.459, intensity 41
d 2.300, intensity 18
d 2.223, intensity 16
d 2.169, intensity 61
d 2.004, intensity 11
d 1.999, intensity 11
d 1.680, intensity 26
d 1.405, intensity 8
d 1.188, intensity 9

=====

For LiSn4Ir2, a GGA-PBE-relaxed structure gives the theoretical powder diffractogram in this record (copper Kα).

Cell: 9.537 9.537 9.537 Å, 26.77 26.77 26.77°
Sites, in units of the cell vectors:
Li: 0.000 0.000 0.000
Sn: 0.200 0.200 0.200
Sn: 0.394 0.394 0.394
Sn: 0.606 0.606 0.606
Sn: 0.800 0.800 0.800
Ir: 0.098 0.098 0.098
Ir: 0.902 0.902 0.902

Largest 10 diffraction maxima, in order of rising 2θ, 2θ from 15° to 90°:
d 4.595, intensity 48
d 3.788, intensity 21
d 3.344, intensity 74
d 2.744, intensity 26
d 2.237, intensity 99
d 2.208, intensity 100
d 1.990, intensity 32
d 1.571, intensity 39
d 1.280, intensity 38
d 1.275, intensity 18

=====

For Li2Sn3Ir, a GGA-PBE-relaxed structure gives the theoretical powder diffractogram in this record (copper Kα).

Cell: 5.359 7.021 7.073 Å, 94.46 105.96 98.37°
Sites, in units of the cell vectors:
Li: 0.213 0.403 0.124
Li: 0.230 0.372 0.711
Li: 0.770 0.628 0.289
Li: 0.787 0.597 0.876
Sn: 0.086 0.033 0.295
Sn: 0.334 0.670 0.470
Sn: 0.338 0.766 0.952
Sn: 0.662 0.234 0.048
Sn: 0.666 0.330 0.530
Sn: 0.914 0.967 0.705
Ir: 0.417 0.036 0.683
Ir: 0.583 0.964 0.317

Largest 10 diffraction maxima, in order of rising 2θ, 2θ from 15° to 90°:
d 5.074, intensity 84
d 4.475, intensity 68
d 2.892, intensity 100
d 2.698, intensity 44
d 2.576, intensity 61
d 2.528, intensity 60
d 2.275, intensity 49
d 2.246, intensity 59
d 2.222, intensity 67
d 2.205, intensity 76

=====

For Sr2Li2Ir, a GGA-PBE-relaxed structure gives the theoretical powder diffractogram in this record (copper Kα).

Cell: 6.160 6.160 6.160 Å, 133.31 130.26 70.60°
Sites, in units of the cell vectors:
Sr: 0.182 0.182 0.000
Sr: 0.818 0.818 0.000
Li: 0.275 0.500 0.775
Li: 0.725 0.500 0.225
Ir: 0.500 0.000 0.500

Largest 10 diffraction maxima, in order of rising 2θ, 2θ from 15° to 90°:
d 4.606, intensity 23
d 4.392, intensity 96
d 2.902, intensity 100
d 2.814, intensity 64
d 2.591, intensity 25
d 2.441, intensity 24
d 2.231, intensity 38
d 2.052, intensity 18
d 1.844, intensity 37
d 1.511, intensity 19

=====

For SrLiIr, a GGA-PBE-relaxed structure gives the theoretical powder diffractogram in this record (copper Kα).

Cell: 7.127 7.127 7.448 Å, 90.00 90.00 130.70°
Sites, in units of the cell vectors:
Sr: 0.177 0.823 0.909
Sr: 0.323 0.677 0.409
Sr: 0.677 0.323 0.591
Sr: 0.823 0.177 0.091
Li: 0.213 0.287 0.750
Li: 0.287 0.213 0.250
Li: 0.713 0.787 0.750
Li: 0.787 0.713 0.250
Ir: 0.096 0.904 0.520
Ir: 0.404 0.596 0.020
Ir: 0.596 0.404 0.980
Ir: 0.904 0.096 0.480

Largest 10 diffraction maxima, in order of rising 2θ, 2θ from 15° to 90°:
d 4.374, intensity 100
d 3.724, intensity 53
d 3.238, intensity 24
d 2.973, intensity 50
d 2.444, intensity 17
d 2.322, intensity 46
d 2.263, intensity 72
d 2.256, intensity 28
d 2.190, intensity 18
d 1.539, intensity 30